For Bi2O3, a DFT-relaxed cell (GGA-PBE, Alexandria) gives the simulated powder diffractogram in this record (λ = 1.5418 Å (Cu Kα)).
Lines closer than 0.1° are merged.

Main lines, sorted by position (2θ from 10° to 90°):
2θ/deg	Rel. int.
26.1	51
28.3	100
28.9	59
29.2	48
31.0	46
37.9	21
41.2	18
43.7	30
50.2	13
51.2	20
52.1	16
54.7	25

```
data_Bi2O3
_chemical_formula_sum 'Bi16 O24'
_space_group_name_H-M_alt 'P 1 21/c 1'
_space_group_IT_number 14
_cell_length_a 9.4248
_cell_length_b 7.3749
_cell_length_c 10.3071
_cell_angle_alpha 90.00
_cell_angle_beta 103.18
_cell_angle_gamma 90.00
loop_
_space_group_symop_operation_xyz
'x,y,z'
'-x,-y,-z'
'-x,y+1/2,-z+1/2'
'x,-y+1/2,z+1/2'
loop_
_atom_site_label
_atom_site_type_symbol
_atom_site_fract_x
_atom_site_fract_y
_atom_site_fract_z
Bi1 Bi 0.0760 0.0932 0.1787
Bi2 Bi 0.2101 0.6186 0.0689
Bi3 Bi 0.2826 0.0976 0.9267
Bi4 Bi 0.4233 0.6226 0.8361
O1 O 0.0720 0.1538 0.9679
O2 O 0.1791 0.1358 0.7168
O3 O 0.2219 0.6986 0.3855
O4 O 0.2737 0.5492 0.6536
O5 O 0.2841 0.0659 0.4283
O6 O 0.4335 0.6303 0.1808
```